Record 1
Computed X-ray powder pattern of Tl2Mo9S11 for copper Kα, from the GGA-PBE geometry in Alexandria.
Intensities are scaled so that the largest is 100.

Structure:
```
Tl2Mo9S11
1.0
4.7210 2.7257 11.8834
-4.7210 2.7257 11.8834
0.0000 -5.4514 11.8834
Tl Mo S
4 18 22
direct
0.0520 0.0520 0.0520
0.4480 0.4480 0.4480
0.5520 0.5520 0.5520
0.9480 0.9480 0.9480
0.0273 0.3552 0.1762
0.0833 0.2500 0.4167
0.1448 0.4727 0.3238
0.1762 0.0273 0.3552
0.2500 0.4167 0.0833
0.3238 0.1448 0.4727
0.3552 0.1762 0.0273
0.4167 0.0833 0.2500
0.4727 0.3238 0.1448
0.5273 0.6762 0.8552
0.5833 0.9168 0.7500
0.6448 0.8238 0.9727
0.6762 0.8552 0.5273
0.7500 0.5833 0.9167
0.8238 0.9727 0.6448
0.8552 0.5273 0.6762
0.9167 0.7500 0.5833
0.9727 0.6448 0.8238
0.0194 0.2848 0.6207
0.0528 0.4472 0.7500
0.1207 0.7848 0.5194
0.1345 0.1345 0.1345
0.2152 0.4806 0.8793
0.2500 0.9472 0.5528
0.2848 0.6207 0.0194
0.3655 0.3655 0.3655
0.3793 0.9806 0.7152
0.4472 0.7500 0.0528
0.4806 0.8793 0.2152
0.5194 0.1207 0.7848
0.5528 0.2500 0.9472
0.6207 0.0194 0.2848
0.6345 0.6345 0.6345
0.7152 0.3793 0.9806
0.7500 0.0528 0.4472
0.7848 0.5194 0.1207
0.8655 0.8655 0.8655
0.8793 0.2152 0.4806
0.9472 0.5528 0.2500
0.9806 0.7152 0.3793
```

Main lines, sorted by position (15° ≤ 2θ ≤ 90°):
- 18.8°, intensity 100
- 22.3°, intensity 37
- 22.7°, intensity 71
- 29.3°, intensity 88
- 33.9°, intensity 36
- 38.6°, intensity 34
- 40.1°, intensity 40
- 42.0°, intensity 41
- 44.7°, intensity 78
- 68.9°, intensity 27



Record 2
Computed X-ray powder pattern of TcSI3 for copper Kα, from the GGA-PBE geometry in Alexandria.
Intensities are scaled so that the largest is 100.

Structure:
```
TcSI3
1.0
3.8841 -7.5957 0.0000
3.8841 7.5957 0.0000
-0.5748 0.0000 13.3827
Tc S I
4 4 12
direct
0.0130 0.0897 0.1522
0.0897 0.0130 0.6522
0.9103 0.9870 0.3478
0.9870 0.9103 0.8478
0.0217 0.7295 0.7263
0.2705 0.9783 0.7737
0.7295 0.0217 0.2263
0.9783 0.2705 0.2737
0.0088 0.2148 0.5236
0.1756 0.2915 0.7925
0.2148 0.0088 0.0236
0.2314 0.4605 0.0763
0.2915 0.1756 0.2925
0.4605 0.2314 0.5763
0.5395 0.7686 0.4237
0.7085 0.8244 0.7075
0.7686 0.5395 0.9237
0.7852 0.9912 0.9764
0.8244 0.7085 0.2075
0.9912 0.7852 0.4764
```

Main lines, sorted by position (15° ≤ 2θ ≤ 90°):
- 23.4°, intensity 28
- 24.2°, intensity 31
- 26.4°, intensity 100
- 27.0°, intensity 39
- 29.2°, intensity 47
- 29.4°, intensity 48
- 33.4°, intensity 69
- 39.4°, intensity 41
- 41.5°, intensity 33
- 43.4°, intensity 50



Record 3
Computed X-ray powder pattern of Zr4AlRh for copper Kα, from the GGA-PBE geometry in Alexandria.
Intensities are scaled so that the largest is 100.

Structure:
```
Zr4AlRh
1.0
-3.3956 3.3956 2.6480
3.3956 -3.3956 2.6480
3.3956 3.3956 -2.6480
Zr Al Rh
4 1 1
direct
0.0925 0.5925 0.1850
0.4075 0.9075 0.8150
0.5925 0.4075 0.5000
0.9075 0.0925 0.5000
0.5000 0.5000 0.0000
0.0000 0.0000 0.0000
```

Main lines, sorted by position (15° ≤ 2θ ≤ 90°):
- 21.3°, intensity 12
- 34.0°, intensity 100
- 38.8°, intensity 24
- 42.1°, intensity 35
- 43.3°, intensity 23
- 58.7°, intensity 13
- 60.7°, intensity 18
- 65.3°, intensity 12
- 68.5°, intensity 17
- 77.9°, intensity 11



Record 4
Computed X-ray powder pattern of As for copper Kα, from the GGA-PBE geometry in Alexandria.
Intensities are scaled so that the largest is 100.

Structure:
```
As
1.0
4.6143 0.0000 0.0000
-2.3071 3.9961 0.0000
0.0000 0.0000 5.8643
As
4
direct
0.3333 0.6667 0.0366
0.3333 0.6667 0.4634
0.6667 0.3333 0.5366
0.6667 0.3333 0.9634
```

Main lines, sorted by position (15° ≤ 2θ ≤ 90°):
- 22.2°, intensity 100
- 27.0°, intensity 19
- 30.5°, intensity 48
- 38.1°, intensity 39
- 39.0°, intensity 91
- 45.4°, intensity 15
- 50.3°, intensity 69
- 52.1°, intensity 24
- 70.7°, intensity 15
- 78.9°, intensity 18



Record 5
Computed X-ray powder pattern of NaSnI6 for copper Kα, from the GGA-PBE geometry in Alexandria.
Intensities are scaled so that the largest is 100.

Structure:
```
NaSnI6
1.0
7.1203 0.0000 0.0000
3.1935 6.8453 0.0000
2.4912 2.6057 7.0706
Na Sn I
1 1 6
direct
0.0000 0.0000 0.0000
0.5000 0.5000 0.5000
0.2207 0.5574 0.2785
0.2458 0.3207 0.8641
0.2605 0.9380 0.5223
0.7395 0.0620 0.4777
0.7542 0.6793 0.1359
0.7793 0.4426 0.7215
```

Main lines, sorted by position (15° ≤ 2θ ≤ 90°):
- 21.7°, intensity 37
- 24.2°, intensity 75
- 24.4°, intensity 62
- 26.2°, intensity 100
- 28.0°, intensity 52
- 29.0°, intensity 35
- 29.8°, intensity 89
- 33.5°, intensity 31
- 37.8°, intensity 35
- 42.2°, intensity 39



Record 6
Computed X-ray powder pattern of CeU4Ga15 for copper Kα, from the GGA-PBE geometry in Alexandria.
Intensities are scaled so that the largest is 100.

Structure:
```
CeU4Ga15
1.0
4.2733 0.0000 0.0000
0.0000 4.2733 0.0000
0.0000 0.0000 21.4539
Ce U Ga
1 4 15
direct
0.0000 0.0000 0.0000
0.0000 0.0000 0.2023
0.0000 0.0000 0.4005
0.0000 0.0000 0.5995
0.0000 0.0000 0.7977
0.0000 0.5000 0.1027
0.0000 0.5000 0.3015
0.0000 0.5000 0.5000
0.0000 0.5000 0.6985
0.0000 0.5000 0.8973
0.5000 0.0000 0.1027
0.5000 0.0000 0.3015
0.5000 0.0000 0.5000
0.5000 0.0000 0.6985
0.5000 0.0000 0.8973
0.5000 0.5000 0.0000
0.5000 0.5000 0.2015
0.5000 0.5000 0.4007
0.5000 0.5000 0.5993
0.5000 0.5000 0.7985
```

Main lines, sorted by position (15° ≤ 2θ ≤ 90°):
- 20.8°, intensity 30
- 29.5°, intensity 26
- 36.4°, intensity 100
- 42.1°, intensity 16
- 42.3°, intensity 33
- 61.2°, intensity 22
- 61.4°, intensity 11
- 73.2°, intensity 13
- 73.5°, intensity 26
- 77.2°, intensity 11